For Co2TeBr2O3, a PBE+U-relaxed structure gives the simulated powder XRD pattern in this record (a wavelength of 1.5418 Å).

Principal peaks in the range 10 to 80 degrees two-theta, low angle first:
2θ 24.54, rel. 44, (1 0 -2)
2θ 26.42, rel. 100, (0 2 0)
2θ 26.93, rel. 47, (1 1 1)
2θ 27.93, rel. 82, (1 1 -2)
2θ 32.30, rel. 77, (1 0 2)
2θ 34.88, rel. 57, (0 2 2)
2θ 36.33, rel. 47, (1 1 -3)
2θ 37.09, rel. 60, (2 1 -1)

Atomic structure:
a = 5.2000 Å, b = 6.7472 Å, c = 8.2598 Å
α = 90.00°, β = 105.67°, γ = 90.00°
Space group P2_1/m (No. 11)
One atom of each set of equivalent atoms:
Co1 0.0000 0.0000 0.0000 (multiplicity 2)
Co2 0.2613 0.2500 0.8034 (multiplicity 2)
Te1 0.4010 0.7500 0.7513 (multiplicity 2)
Br1 0.1596 0.2500 0.4872 (multiplicity 2)
Br2 0.2615 0.7500 0.2275 (multiplicity 2)
O1 0.2454 0.5407 0.8469 (multiplicity 4)
O2 0.2563 0.2500 0.0692 (multiplicity 2)